Starting from a cell relaxed with PBE, the powder diffraction line list of BaGdNO was calculated for Cu Kα X-rays.
Kinematic intensities with the Lorentz-polarization factor, no thermal factor.

Cell and atoms:
Unit cell a=3.554 b=3.556 c=5.999 alpha=90.00 beta=90.39 gamma=90.00
Element x y z (fractional)
Ba: 0.000 0.000 0.000
Gd: 0.498 0.500 0.482
N: 0.028 0.000 0.531
O: 0.501 0.500 0.121

Largest 6 diffraction maxima, sorted by position, 2θ = 5–70°:
hkl 0 1 1, 29.17 deg, intensity 100; hkl 1 0 1, 29.29 deg, intensity 33; hkl 0 0 2, 29.79 deg, intensity 41; hkl 1 1 0, 35.72 deg, intensity 57; hkl 1 1 -2, 47.06 deg, intensity 23; hkl 1 1 2, 47.29 deg, intensity 22